The following is a calculated XRD peak list of AlZnAu2. It was derived from a crystal structure in Alexandria, relaxed with PBE, using Cu Kα (λ = 1.5418 Å).
Peak positions follow from Bragg's law for the DFT cell and can differ from measured ones.

Atomic structure:
a b c (Å): 3.905 3.997 8.396
angles (deg): 90.00 90.00 90.00
Space group Imm2 (No. 44)
One atom of each set of equivalent atoms:
Al1 0.000 0.000 0.000 x2
Zn1 0.000 0.500 0.752 x2
Au1 0.000 0.000 0.502 x2
Au2 0.000 0.500 0.252 x2

Top 10 peaks for 2θ from 5° to 70°, sorted by position:
index  2θ/deg  Rel. int.
0 1 1  24.7  29
1 0 1  25.2  28
1 1 2  38.7  100
0 1 3  39.3  9
0 0 4  43.1  19
0 2 0  45.4  16
2 0 0  46.5  15
0 2 4  64.4  11
2 0 4  65.3  11
2 2 0  67.0  10

***

The following is a calculated XRD peak list of AlZnAu3. It was derived from a crystal structure in Alexandria, relaxed with PBE, using Cu Kα (λ = 1.5418 Å).
Peak positions follow from Bragg's law for the DFT cell and can differ from measured ones.

Atomic structure:
a b c (Å): 11.189 9.609 6.556
angles (deg): 90.00 90.00 90.00
Space group Cmce (No. 64)
One atom of each set of equivalent atoms:
Al1 0.000 0.150 0.080 x8
Zn1 0.250 0.064 0.750 x8
Au1 0.000 0.073 0.706 x8
Au2 0.156 0.182 0.389 x16

Top 10 peaks for 2θ from 5° to 70°, sorted by position:
index  2θ/deg  Rel. int.
1 1 1  18.2  37
2 2 0  24.4  23
2 2 1  28.0  32
4 2 0  37.2  36
3 1 2  37.7  100
3 3 1  39.6  52
4 2 1  39.7  55
0 4 1  40.0  67
0 2 3  45.6  34
4 4 3  66.9  22

***

The following is a calculated XRD peak list of Al2Zn2Au7. It was derived from a crystal structure in Alexandria, relaxed with PBE, using Cu Kα (λ = 1.5418 Å).
Peak positions follow from Bragg's law for the DFT cell and can differ from measured ones.

Atomic structure:
a b c (Å): 4.328 12.295 7.071
angles (deg): 90.00 90.00 90.00
Space group Imm2 (No. 44)
One atom of each set of equivalent atoms:
Al1 0.000 0.202 0.000 x4
Zn1 0.000 0.000 0.789 x2
Zn2 0.000 0.500 0.984 x2
Au1 0.000 0.000 0.159 x2
Au2 0.000 0.140 0.495 x4
Au3 0.000 0.343 0.709 x4
Au4 0.000 0.357 0.287 x4

Top 10 peaks for 2θ from 5° to 70°, sorted by position:
index  2θ/deg  Rel. int.
1 2 1  28.2  15
0 4 0  29.1  15
1 3 0  30.0  19
1 1 2  33.5  22
1 4 1  38.1  36
0 1 3  38.9  24
1 3 2  39.6  100
2 0 0  41.7  33
0 6 0  44.2  16
2 1 3  58.4  18

***

The following is a calculated XRD peak list of Al2ZnAu3. It was derived from a crystal structure in Alexandria, relaxed with PBE, using Cu Kα (λ = 1.5418 Å).
Peak positions follow from Bragg's law for the DFT cell and can differ from measured ones.

Atomic structure:
a b c (Å): 5.068 5.841 7.982
angles (deg): 70.18 88.22 68.96
Space group P-1 (No. 2)
One atom of each set of equivalent atoms:
Al1 0.222 0.310 0.427 x2
Al2 0.230 0.048 0.080 x2
Zn1 0.287 0.867 0.766 x2
Au1 0.234 0.825 0.442 x2
Au2 0.235 0.545 0.087 x2
Au3 0.296 0.340 0.751 x2

Top 10 peaks for 2θ from 5° to 70°, sorted by position:
index  2θ/deg  Rel. int.
0 1 -1  24.3  100
1 1 2  28.1  82
-1 1 2  33.2  96
1 2 2  34.4  63
2 0 0  38.3  89
1 0 -3  39.2  85
0 2 -1  41.2  46
1 0 3  42.8  68
-1 2 1  44.0  34
2 2 -1  45.7  43

***

The following is a calculated XRD peak list of Al2ZnAu5. It was derived from a crystal structure in Alexandria, relaxed with PBE, using Cu Kα (λ = 1.5418 Å).
Peak positions follow from Bragg's law for the DFT cell and can differ from measured ones.

Atomic structure:
a b c (Å): 12.797 5.227 8.872
angles (deg): 90.00 101.42 90.00
Space group C2/c (No. 15)
One atom of each set of equivalent atoms:
Al1 0.128 0.249 0.422 x8
Zn1 0.250 0.250 0.000 x4
Au1 0.000 0.423 0.750 x4
Au2 0.073 0.065 0.131 x8
Au3 0.208 0.422 0.692 x8

Top 10 peaks for 2θ from 5° to 70°, sorted by position:
index  2θ/deg  Rel. int.
0 0 2  20.4  77
2 0 -2  22.5  45
2 0 2  27.2  41
3 1 -2  31.6  79
0 2 1  35.9  100
3 1 2  36.9  57
5 1 -1  39.3  46
5 1 0  39.9  91
5 1 -2  41.6  63
1 1 4  47.1  83

***

The following is a calculated XRD peak list of AlZn2Au7. It was derived from a crystal structure in Alexandria, relaxed with PBE, using Cu Kα (λ = 1.5418 Å).
Peak positions follow from Bragg's law for the DFT cell and can differ from measured ones.

Atomic structure:
a b c (Å): 4.3889 4.3889 11.0300
angles (deg): 90.00 90.00 120.00
Space group P3m1 (No. 156)
One atom of each set of equivalent atoms:
Al1 0.0000 0.0000 0.0000 x1
Zn1 0.3333 0.6667 0.6465 x1
Zn2 0.6667 0.3333 0.3230 x1
Au1 0.0000 0.0000 0.2392 x1
Au2 0.0000 0.0000 0.7071 x1
Au3 0.3333 0.6667 0.4029 x1
Au4 0.3333 0.6667 0.9423 x1
Au5 0.6667 0.3333 0.0894 x1
Au6 0.6667 0.3333 0.5554 x1
Au7 0.6667 0.3333 0.8225 x1

Top 10 peaks for 2θ from 5° to 70°, sorted by position:
index  2θ/deg  Rel. int.
1 0 0  23.4  9
0 1 2  28.5  79
0 1 3  33.9  26
1 0 4  40.4  93
1 1 0  41.1  100
1 0 5  47.7  6
2 0 2  50.8  17
2 0 3  54.3  7
0 2 4  59.0  31
1 2 2  67.4  15

***

The following is a calculated XRD peak list of Al2ZnAu2. It was derived from a crystal structure in Alexandria, relaxed with PBE, using Cu Kα (λ = 1.5418 Å).
Peak positions follow from Bragg's law for the DFT cell and can differ from measured ones.

Atomic structure:
a b c (Å): 4.338 4.391 9.314
angles (deg): 90.00 90.00 90.00
Space group Pmmn (No. 59, origin choice 2)
One atom of each set of equivalent atoms:
Al1 0.250 0.250 0.003 x2
Al2 0.250 0.250 0.681 x2
Zn1 0.250 0.250 0.312 x2
Au1 0.250 0.750 0.154 x2
Au2 0.250 0.750 0.515 x2

Top 10 peaks for 2θ from 5° to 70°, sorted by position:
index  2θ/deg  Rel. int.
0 0 1  9.5  27
1 0 1  22.6  32
0 1 2  27.9  35
1 0 2  28.1  20
1 1 0  28.9  37
0 2 0  41.1  27
1 1 3  41.2  100
2 0 0  41.6  26
0 2 3  50.9  21
2 2 0  60.0  18

***

The following is a calculated XRD peak list of Al3Zn2Au8. It was derived from a crystal structure in Alexandria, relaxed with PBE, using Cu Kα (λ = 1.5418 Å).
Peak positions follow from Bragg's law for the DFT cell and can differ from measured ones.

Atomic structure:
a b c (Å): 8.136 13.181 4.422
angles (deg): 90.00 90.00 90.00
Space group Cmmm (No. 65)
One atom of each set of equivalent atoms:
Al1 0.000 0.000 0.000 x2
Al2 0.211 0.500 0.500 x4
Zn1 0.000 0.237 0.000 x4
Au1 0.000 0.118 0.500 x4
Au2 0.000 0.349 0.500 x4
Au3 0.230 0.385 0.000 x8

Top 10 peaks for 2θ from 5° to 70°, sorted by position:
index  2θ/deg  Rel. int.
0 4 0  27.1  32
2 0 1  29.8  57
0 0 2  40.7  100
1 5 1  41.4  8
4 0 0  44.5  15
0 4 2  49.7  13
4 4 0  52.9  9
4 0 2  62.0  12
2 8 1  64.6  7
4 4 2  68.9  9

***

The following is a calculated XRD peak list of Zr2Al4Au3. It was derived from a crystal structure in Alexandria, relaxed with PBE, using Cu Kα (λ = 1.5418 Å).
Peak positions follow from Bragg's law for the DFT cell and can differ from measured ones.

Atomic structure:
a b c (Å): 5.675 15.216 7.479
angles (deg): 90.00 90.00 90.00
Space group Cmce (No. 64)
One atom of each set of equivalent atoms:
Zr1 0.000 0.094 0.104 x8
Al1 0.000 0.173 0.480 x8
Al2 0.250 0.067 0.750 x8
Au1 0.000 0.000 0.500 x4
Au2 0.250 0.239 0.750 x8

Top 10 peaks for 2θ from 5° to 70°, sorted by position:
index  2θ/deg  Rel. int.
0 4 0  23.4  40
1 3 1  26.4  20
0 2 2  26.6  100
2 2 0  33.7  78
1 5 1  35.6  46
2 0 2  39.9  85
0 6 2  43.1  35
2 4 2  46.7  41
2 6 0  48.1  17
0 4 4  54.7  24

***

The following is a calculated XRD peak list of Zr4Al7Au5. It was derived from a crystal structure in Alexandria, relaxed with PBE, using Cu Kα (λ = 1.5418 Å).
Peak positions follow from Bragg's law for the DFT cell and can differ from measured ones.

Atomic structure:
a b c (Å): 5.841 5.841 17.129
angles (deg): 90.00 90.00 90.00
Space group I-42m (No. 121)
One atom of each set of equivalent atoms:
Zr1 0.242 0.242 0.372 x8
Al1 0.000 0.000 0.500 x2
Al2 0.000 0.500 0.000 x4
Al3 0.246 0.246 0.125 x8
Au1 0.000 0.000 0.000 x2
Au2 0.000 0.000 0.245 x4
Au3 0.000 0.500 0.250 x4

Top 10 peaks for 2θ from 5° to 70°, sorted by position:
index  2θ/deg  Rel. int.
0 0 2  10.3  55
0 0 4  20.7  15
1 1 2  23.9  13
2 0 0  30.6  12
2 0 2  32.4  15
2 0 4  37.3  100
0 0 8  42.2  17
2 2 0  43.8  32
2 2 8  62.5  22
4 0 0  63.7  10

***

The following is a calculated XRD peak list of ZrAl2Au. It was derived from a crystal structure in Alexandria, relaxed with PBE, using Cu Kα (λ = 1.5418 Å).
Peak positions follow from Bragg's law for the DFT cell and can differ from measured ones.

Atomic structure:
a b c (Å): 4.037 4.037 8.837
angles (deg): 90.00 90.00 90.00
Space group I-4m2 (No. 119)
One atom of each set of equivalent atoms:
Zr1 0.000 0.000 0.000 x2
Al1 0.000 0.000 0.500 x2
Al2 0.000 0.500 0.250 x2
Au1 0.000 0.500 0.750 x2

Top 10 peaks for 2θ from 5° to 70°, sorted by position:
index  2θ/deg  Rel. int.
0 0 2  20.1  10
1 0 1  24.2  85
1 1 2  37.5  100
1 0 3  37.8  28
0 0 4  40.8  20
2 0 0  44.9  30
2 1 1  51.7  23
2 1 3  60.1  15
2 0 4  62.3  23
2 2 0  65.4  10

***

The following is a calculated XRD peak list of Zr3AlAu2. It was derived from a crystal structure in Alexandria, relaxed with PBE, using Cu Kα (λ = 1.5418 Å).
Peak positions follow from Bragg's law for the DFT cell and can differ from measured ones.

Atomic structure:
a b c (Å): 12.417 12.417 12.417
angles (deg): 90.00 90.00 90.00
Space group Fd-3m (No. 227, origin choice 2)
One atom of each set of equivalent atoms:
Zr1 0.072 0.375 0.375 x48
Al1 0.000 0.000 0.500 x16
Au1 0.038 0.038 0.712 x32

Top 10 peaks for 2θ from 5° to 70°, sorted by position:
index  2θ/deg  Rel. int.
1 1 1  12.3  17
2 2 2  24.8  34
4 2 2  35.4  20
3 3 3  37.6  100
4 4 0  41.1  20
4 4 2  43.7  20
7 3 1  57.0  11
6 6 0  63.6  26
5 5 5  65.1  9
8 4 2  69.4  14